Computed X-ray powder pattern
Compound: SmHoSi2Os
Radiation: Cu Kα
Structure: DFT lattice parameters and positions (PBE)
Neutral-atom scattering factors, no anomalous dispersion.

Largest 10 diffraction maxima, low angle first, 2θ from 5° to 70°:
d 8.855, intensity 47; d 3.869, intensity 34; d 3.251, intensity 45; d 2.683, intensity 75; d 2.663, intensity 100; d 2.602, intensity 27; d 2.441, intensity 64; d 2.214, intensity 28; d 2.208, intensity 42; d 2.123, intensity 48

Cell and atoms:
Unit cell a=5.7668 b=5.7668 c=10.1105 alpha=116.66 beta=116.66 gamma=43.21
Atoms (fractional coordinates):
Sm 0.1888 0.1888 0.1104
Sm 0.8112 0.8112 0.8896
Ho 0.0049 0.0049 0.6758
Ho 0.9951 0.9951 0.3242
Si 0.3555 0.3555 0.4400
Si 0.4998 0.4998 0.1280
Si 0.5002 0.5002 0.8720
Si 0.6445 0.6445 0.5600
Os 0.2694 0.2694 0.6244
Os 0.7306 0.7306 0.3756

=====

Computed X-ray powder pattern
Compound: Hf8Sb2C3N3
Radiation: Cu Kα
Structure: DFT lattice parameters and positions (PBE)
Neutral-atom scattering factors, no anomalous dispersion.

Largest 10 diffraction maxima, low angle first, 2θ from 5° to 70°:
d 2.843, intensity 27; d 2.787, intensity 29; d 2.593, intensity 61; d 2.471, intensity 86; d 2.447, intensity 46; d 2.343, intensity 100; d 1.661, intensity 15; d 1.653, intensity 54; d 1.370, intensity 46; d 1.350, intensity 36

Cell and atoms:
Unit cell a=3.3055 b=3.3055 c=24.4704 alpha=90.00 beta=90.00 gamma=120.00
Atoms (fractional coordinates):
Hf 0.0000 0.0000 0.1545
Hf 0.0000 0.0000 0.3418
Hf 0.0000 0.0000 0.6582
Hf 0.0000 0.0000 0.8455
Hf 0.3333 0.6667 0.5529
Hf 0.3333 0.6667 0.9459
Hf 0.6667 0.3333 0.0541
Hf 0.6667 0.3333 0.4471
Sb 0.3333 0.6667 0.7523
Sb 0.6667 0.3333 0.2477
C 0.0000 0.0000 0.5000
C 0.3333 0.6667 0.3893
C 0.6667 0.3333 0.6107
N 0.0000 0.0000 0.0000
N 0.3333 0.6667 0.1037
N 0.6667 0.3333 0.8963

=====

Copy entry 2 word for word.
Computed X-ray powder pattern
Compound: Hf8Sb2C3N3
Radiation: Cu Kα
Structure: DFT lattice parameters and positions (PBE)
Neutral-atom scattering factors, no anomalous dispersion.

Largest 10 diffraction maxima, low angle first, 2θ from 5° to 70°:
d 2.843, intensity 27; d 2.787, intensity 29; d 2.593, intensity 61; d 2.471, intensity 86; d 2.447, intensity 46; d 2.343, intensity 100; d 1.661, intensity 15; d 1.653, intensity 54; d 1.370, intensity 46; d 1.350, intensity 36

Cell and atoms:
Unit cell a=3.3055 b=3.3055 c=24.4704 alpha=90.00 beta=90.00 gamma=120.00
Atoms (fractional coordinates):
Hf 0.0000 0.0000 0.1545
Hf 0.0000 0.0000 0.3418
Hf 0.0000 0.0000 0.6582
Hf 0.0000 0.0000 0.8455
Hf 0.3333 0.6667 0.5529
Hf 0.3333 0.6667 0.9459
Hf 0.6667 0.3333 0.0541
Hf 0.6667 0.3333 0.4471
Sb 0.3333 0.6667 0.7523
Sb 0.6667 0.3333 0.2477
C 0.0000 0.0000 0.5000
C 0.3333 0.6667 0.3893
C 0.6667 0.3333 0.6107
N 0.0000 0.0000 0.0000
N 0.3333 0.6667 0.1037
N 0.6667 0.3333 0.8963